For Li4AlTlAg2, a crystal structure in OQMD, relaxed with GGA-PBE gives the calculated X-ray diffraction stick pattern in this record (Cu Kα X-rays).
No peak broadening, texture or thermal motion is included.

Structural model:
```
data_Li4AlTlAg2
_chemical_formula_sum 'Li4 Al1 Tl1 Ag2'
_cell_length_a 4.5255
_cell_length_b 4.5255
_cell_length_c 6.5095
_cell_angle_alpha 90.00
_cell_angle_beta 90.00
_cell_angle_gamma 90.00
_space_group_name_H-M_alt 'P -4 m 2'
_space_group_IT_number 115
_space_group_name_Hall 'P -4 -2'
loop_
_atom_site_label
_atom_site_fract_x
_atom_site_fract_y
_atom_site_fract_z
_atom_site_occupancy
Li1 0.0000 0.0000 0.0000 1
Li2 0.0000 0.5000 0.2396 1
Li3 0.5000 0.5000 0.5000 1
Al1 0.5000 0.5000 0.0000 1
Tl1 0.0000 0.0000 0.5000 1
Ag1 0.0000 0.5000 0.7807 1
```

Largest 10 diffraction maxima, by angle, 2θ from 10° to 90°:
index  2theta  I_rel
0 0 1  13.6  15
1 0 0  19.6  25
1 0 1  23.9  100
1 1 1  31.1  26
1 0 2  33.9  16
1 1 2  39.5  61
2 0 0  39.8  32
1 0 3  46.4  15
2 1 1  47.0  32
3 1 2  72.1  20



For Li4AlZn2Ag, a crystal structure in OQMD, relaxed with GGA-PBE gives the calculated X-ray diffraction stick pattern in this record (Cu Kα X-rays).
No peak broadening, texture or thermal motion is included.

Structural model:
```
data_Li4AlZn2Ag
_chemical_formula_sum 'Li4 Al1 Zn2 Ag1'
_cell_length_a 4.3691
_cell_length_b 4.3691
_cell_length_c 6.1874
_cell_angle_alpha 90.00
_cell_angle_beta 90.00
_cell_angle_gamma 90.00
_space_group_name_H-M_alt 'P -4 m 2'
_space_group_IT_number 115
_space_group_name_Hall 'P -4 -2'
loop_
_atom_site_label
_atom_site_fract_x
_atom_site_fract_y
_atom_site_fract_z
_atom_site_occupancy
Li1 0.0000 0.0000 0.0000 1
Li2 0.0000 0.5000 0.2460 1
Li3 0.5000 0.5000 0.5000 1
Al1 0.0000 0.0000 0.5000 1
Zn1 0.0000 0.5000 0.7397 1
Ag1 0.5000 0.5000 0.0000 1
```

Largest 10 diffraction maxima, by angle, 2θ from 10° to 90°:
index  2theta  I_rel
0 0 1  14.3  14
1 0 0  20.3  17
1 0 1  24.9  97
1 1 1  32.4  13
2 0 0  41.3  100
2 1 1  48.9  45
2 2 0  59.8  16
3 0 1  65.9  17
3 1 2  75.3  31
4 0 0  89.7  10



For MgAlAg6, a crystal structure in OQMD, relaxed with GGA-PBE gives the calculated X-ray diffraction stick pattern in this record (Cu Kα X-rays).
No peak broadening, texture or thermal motion is included.

Structural model:
```
data_MgAlAg6
_chemical_formula_sum 'Mg1 Al1 Ag6'
_cell_length_a 5.7715
_cell_length_b 5.7715
_cell_length_c 4.7233
_cell_angle_alpha 90.00
_cell_angle_beta 90.00
_cell_angle_gamma 120.00
_space_group_name_H-M_alt 'P -6 m 2'
_space_group_IT_number 187
_space_group_name_Hall 'P -6 2'
loop_
_atom_site_label
_atom_site_fract_x
_atom_site_fract_y
_atom_site_fract_z
_atom_site_occupancy
Mg1 0.0000 0.0000 0.0000 1
Al1 0.3333 0.6667 0.5000 1
Ag1 0.0045 0.5023 0.0000 1
Ag2 0.3322 0.1661 0.5000 1
```

Largest 10 diffraction maxima, by angle, 2θ from 10° to 90°:
index  2theta  I_rel
1 0 1  26.0  20
1 1 0  31.0  8
2 0 0  35.9  24
0 0 2  38.1  27
2 0 1  40.9  100
2 0 2  53.4  15
2 2 0  64.6  16
2 0 3  70.7  18
2 2 2  77.5  19
4 0 1  79.3  13



For AlNiAgMo, a crystal structure in OQMD, relaxed with GGA-PBE gives the calculated X-ray diffraction stick pattern in this record (Cu Kα X-rays).
No peak broadening, texture or thermal motion is included.

Structural model:
```
data_AlNiAgMo
_chemical_formula_sum 'Al4 Ni4 Ag4 Mo4'
_cell_length_a 6.1977
_cell_length_b 6.1977
_cell_length_c 6.1977
_cell_angle_alpha 90.00
_cell_angle_beta 90.00
_cell_angle_gamma 90.00
_space_group_name_H-M_alt 'F -4 3 m'
_space_group_IT_number 216
_space_group_name_Hall 'F -4 2 3'
loop_
_atom_site_label
_atom_site_fract_x
_atom_site_fract_y
_atom_site_fract_z
_atom_site_occupancy
Al1 0.0000 0.0000 0.0000 1
Ni1 0.2500 0.2500 0.2500 1
Ag1 0.0000 0.0000 0.5000 1
Mo1 0.2500 0.2500 0.7500 1
```

Largest 9 diffraction maxima, by angle, 2θ from 10° to 90°:
index  2theta  I_rel
1 1 1  24.9  23
2 0 0  28.8  1
2 2 0  41.2  100
3 1 1  48.7  11
4 0 0  59.7  16
3 3 1  65.7  4
4 2 2  75.1  32
5 1 1  80.5  3
4 4 0  89.4  10



For Na4AlSiAg2, a crystal structure in OQMD, relaxed with GGA-PBE gives the calculated X-ray diffraction stick pattern in this record (Cu Kα X-rays).
No peak broadening, texture or thermal motion is included.

Structural model:
```
data_Na4AlSiAg2
_chemical_formula_sum 'Na4 Al1 Si1 Ag2'
_cell_length_a 4.7930
_cell_length_b 4.7930
_cell_length_c 6.7953
_cell_angle_alpha 90.00
_cell_angle_beta 90.00
_cell_angle_gamma 90.00
_space_group_name_H-M_alt 'P -4 m 2'
_space_group_IT_number 115
_space_group_name_Hall 'P -4 -2'
loop_
_atom_site_label
_atom_site_fract_x
_atom_site_fract_y
_atom_site_fract_z
_atom_site_occupancy
Na1 0.0000 0.0000 0.0000 1
Na2 0.0000 0.5000 0.2398 1
Na3 0.5000 0.5000 0.5000 1
Al1 0.0000 0.0000 0.5000 1
Si1 0.5000 0.5000 0.0000 1
Ag1 0.0000 0.5000 0.7546 1
```

Largest 10 diffraction maxima, by angle, 2θ from 10° to 90°:
index  2theta  I_rel
1 0 1  22.7  54
1 1 0  26.3  26
2 0 0  37.5  100
2 1 1  44.3  27
2 0 2  46.4  7
2 2 0  54.1  11
3 0 1  59.4  11
3 1 2  67.7  32
3 2 1  72.4  6
2 2 4  80.0  6



For NdAlAg2O4, a crystal structure in OQMD, relaxed with GGA-PBE gives the calculated X-ray diffraction stick pattern in this record (Cu Kα X-rays).
No peak broadening, texture or thermal motion is included.

Structural model:
```
data_NdAlAg2O4
_chemical_formula_sum 'Nd1 Al1 Ag2 O4'
_cell_length_a 3.2625
_cell_length_b 3.2625
_cell_length_c 12.6635
_cell_angle_alpha 90.00
_cell_angle_beta 90.00
_cell_angle_gamma 120.00
_space_group_name_H-M_alt 'P -3 m 1'
_space_group_IT_number 164
_space_group_name_Hall '-P 3 2"'
loop_
_atom_site_label
_atom_site_fract_x
_atom_site_fract_y
_atom_site_fract_z
_atom_site_occupancy
Nd1 0.0000 0.0000 0.0000 1
Al1 0.0000 0.0000 0.5000 1
Ag1 0.3333 0.6667 0.2671 1
O1 0.3333 0.6667 0.1035 1
O2 0.3333 0.6667 0.4329 1
```

Largest 10 diffraction maxima, by angle, 2θ from 10° to 90°:
index  2theta  I_rel
0 0 3  21.0  19
0 0 4  28.2  42
0 1 1  32.5  100
1 0 2  34.8  89
1 0 3  38.3  24
0 1 5  48.3  33
1 0 6  54.2  34
1 1 0  56.4  30
1 0 7  60.8  13
1 1 4  64.2  24



For PrNd2Al7Ag2, a crystal structure in OQMD, relaxed with GGA-PBE gives the calculated X-ray diffraction stick pattern in this record (Cu Kα X-rays).
No peak broadening, texture or thermal motion is included.

Structural model:
```
data_PrNd2Al7Ag2
_chemical_formula_sum 'Pr3 Nd6 Al21 Ag6'
_cell_length_a 5.6658
_cell_length_b 5.6658
_cell_length_c 26.7336
_cell_angle_alpha 90.00
_cell_angle_beta 90.00
_cell_angle_gamma 120.00
_space_group_name_H-M_alt 'R -3 m'
_space_group_IT_number 166
_space_group_name_Hall '-R 3 2"'
loop_
_atom_site_label
_atom_site_fract_x
_atom_site_fract_y
_atom_site_fract_z
_atom_site_occupancy
Pr1 0.0000 0.0000 0.0000 1
Nd1 0.0000 0.0000 0.1416 1
Al1 0.0000 0.0000 0.5000 1
Al2 0.0081 0.5040 0.9175 1
Ag1 0.0000 0.0000 0.3361 1
```

Largest 10 diffraction maxima, by angle, 2θ from 10° to 90°:
index  2theta  I_rel
0 0 6  19.9  34
1 0 4  22.5  18
1 0 7  29.6  25
1 1 0  31.6  84
0 1 8  32.4  19
1 1 6  37.6  100
3 0 0  56.2  16
3 0 6  60.3  25
1 1 15  61.5  25
2 2 0  65.9  18



For NdY2Al7Ag2, a crystal structure in OQMD, relaxed with GGA-PBE gives the calculated X-ray diffraction stick pattern in this record (Cu Kα X-rays).
No peak broadening, texture or thermal motion is included.

Structural model:
```
data_NdY2Al7Ag2
_chemical_formula_sum 'Nd3 Y6 Al21 Ag6'
_cell_length_a 5.5890
_cell_length_b 5.5890
_cell_length_c 26.4598
_cell_angle_alpha 90.00
_cell_angle_beta 90.00
_cell_angle_gamma 120.00
_space_group_name_H-M_alt 'R -3 m'
_space_group_IT_number 166
_space_group_name_Hall '-R 3 2"'
loop_
_atom_site_label
_atom_site_fract_x
_atom_site_fract_y
_atom_site_fract_z
_atom_site_occupancy
Nd1 0.0000 0.0000 0.0000 1
Y1 0.0000 0.0000 0.1420 1
Al1 0.0000 0.0000 0.5000 1
Al2 0.0079 0.5040 0.9160 1
Ag1 0.0000 0.0000 0.3357 1
```

Largest 10 diffraction maxima, by angle, 2θ from 10° to 90°:
index  2theta  I_rel
0 0 3  10.0  37
0 0 6  20.1  31
1 1 0  32.0  71
1 1 3  33.6  15
1 1 6  38.1  100
0 0 12  40.9  15
1 1 9  44.7  19
0 3 6  61.2  24
1 1 15  62.3  20
2 2 0  67.0  16



For AlAgO3, a crystal structure in OQMD, relaxed with GGA-PBE gives the calculated X-ray diffraction stick pattern in this record (Cu Kα X-rays).
No peak broadening, texture or thermal motion is included.

Structural model:
```
data_AlAgO3
_chemical_formula_sum 'Al1 Ag1 O3'
_cell_length_a 3.6901
_cell_length_b 3.6901
_cell_length_c 3.7222
_cell_angle_alpha 90.00
_cell_angle_beta 90.00
_cell_angle_gamma 90.00
_space_group_name_H-M_alt 'P 4/m m m'
_space_group_IT_number 123
_space_group_name_Hall '-P 4 2'
loop_
_atom_site_label
_atom_site_fract_x
_atom_site_fract_y
_atom_site_fract_z
_atom_site_occupancy
Al1 0.0000 0.0000 0.0000 1
Ag1 0.5000 0.5000 0.5000 1
O1 0.0000 0.0000 0.5000 1
O2 0.0000 0.5000 0.0000 1
```

Largest 10 diffraction maxima, by angle, 2θ from 10° to 90°:
index  2theta  I_rel
0 0 1  23.9  19
1 0 0  24.1  37
1 0 1  34.2  100
1 1 0  34.4  49
1 1 1  42.3  64
0 0 2  48.9  20
2 0 0  49.4  38
1 1 2  61.2  18
2 1 1  61.5  36
2 0 2  72.1  22



For PrAlAg2O4, a crystal structure in OQMD, relaxed with GGA-PBE gives the calculated X-ray diffraction stick pattern in this record (Cu Kα X-rays).
No peak broadening, texture or thermal motion is included.

Structural model:
```
data_PrAlAg2O4
_chemical_formula_sum 'Pr1 Al1 Ag2 O4'
_cell_length_a 3.2791
_cell_length_b 3.2791
_cell_length_c 12.6874
_cell_angle_alpha 90.00
_cell_angle_beta 90.00
_cell_angle_gamma 120.00
_space_group_name_H-M_alt 'P -3 m 1'
_space_group_IT_number 164
_space_group_name_Hall '-P 3 2"'
loop_
_atom_site_label
_atom_site_fract_x
_atom_site_fract_y
_atom_site_fract_z
_atom_site_occupancy
Pr1 0.0000 0.0000 0.0000 1
Al1 0.0000 0.0000 0.5000 1
Ag1 0.3333 0.6667 0.2681 1
O1 0.3333 0.6667 0.1049 1
O2 0.3333 0.6667 0.4334 1
```

Largest 10 diffraction maxima, by angle, 2θ from 10° to 90°:
index  2theta  I_rel
0 0 3  21.0  19
0 0 4  28.1  41
0 1 1  32.3  100
1 0 2  34.6  88
1 0 3  38.2  24
0 1 5  48.1  32
1 0 6  54.1  34
1 1 0  56.1  30
1 1 4  63.9  24
0 2 2  67.6  17



For AlAgSO, a crystal structure in OQMD, relaxed with GGA-PBE gives the calculated X-ray diffraction stick pattern in this record (Cu Kα X-rays).
No peak broadening, texture or thermal motion is included.

Structural model:
```
data_AlAgSO
_chemical_formula_sum 'Al4 Ag4 S4 O4'
_cell_length_a 5.2646
_cell_length_b 4.9379
_cell_length_c 9.9023
_cell_angle_alpha 90.00
_cell_angle_beta 97.29
_cell_angle_gamma 90.00
_space_group_name_H-M_alt 'P 1 21 1'
_space_group_IT_number 4
_space_group_name_Hall 'P 2yb'
loop_
_atom_site_label
_atom_site_fract_x
_atom_site_fract_y
_atom_site_fract_z
_atom_site_occupancy
Al1 0.0391 0.0000 0.4309 1
Al2 0.4264 0.4824 0.3940 1
Ag1 0.0782 0.9477 0.9153 1
Ag2 0.3802 0.4566 0.9521 1
S1 0.2470 0.7037 0.7225 1
S2 0.3170 0.6865 0.1724 1
O1 0.1239 0.6490 0.4338 1
O2 0.3466 0.1650 0.4794 1
```

Largest 10 diffraction maxima, by angle, 2θ from 10° to 90°:
index  2theta  I_rel
0 0 2  18.1  83
1 1 -2  29.5  46
1 1 2  32.2  84
0 2 1  37.6  40
1 0 -4  38.5  38
1 1 3  38.8  33
2 1 0  39.0  100
0 2 2  40.9  35
2 1 -2  41.3  36
1 1 4  46.6  34



For SrAlAg2Pd2, a crystal structure in OQMD, relaxed with GGA-PBE gives the calculated X-ray diffraction stick pattern in this record (Cu Kα X-rays).
No peak broadening, texture or thermal motion is included.

Structural model:
```
data_SrAlAg2Pd2
_chemical_formula_sum 'Sr2 Al2 Ag4 Pd4'
_cell_length_a 5.7051
_cell_length_b 9.1012
_cell_length_c 4.5405
_cell_angle_alpha 90.00
_cell_angle_beta 90.00
_cell_angle_gamma 90.00
_space_group_name_H-M_alt 'C m m m'
_space_group_IT_number 65
_space_group_name_Hall '-C 2 2'
loop_
_atom_site_label
_atom_site_fract_x
_atom_site_fract_y
_atom_site_fract_z
_atom_site_occupancy
Sr1 0.0000 0.0000 0.0000 1
Al1 0.0000 0.5000 0.5000 1
Ag1 0.0000 0.3415 0.0000 1
Pd1 0.2500 0.2500 0.5000 1
```

Largest 10 diffraction maxima, by angle, 2θ from 10° to 90°:
index  2theta  I_rel
0 2 0  19.5  35
0 2 1  27.8  24
1 3 0  33.5  35
2 0 1  37.2  100
1 3 1  39.0  64
0 0 2  39.7  46
2 2 1  42.4  27
0 4 1  44.6  25
1 3 2  52.9  18
2 6 2  83.9  19